Structure and theoretical X-ray diffraction stick pattern of Ir5OsRh (a DFT-relaxed cell (PBE, Alexandria); Cu Kα (λ = 1.5418 Å)).
Intensities are scaled so that the largest is 100.

Largest 10 diffraction maxima, by angle, 15 to 90 degrees two-theta:
h k l  Position (°2θ)  I/Imax
0 0 1  16.48  17
0 2 1  28.91  15
2 2 0  41.06  100
0 2 2  41.23  98
2 0 2  47.69  65
0 4 0  48.25  32
2 4 2  70.19  41
4 2 2  84.13  26
2 2 4  84.47  25
2 6 0  85.09  13

Structural model:
Unit cell a=5.410 b=7.544 c=5.378 alpha=90.00 beta=90.00 gamma=90.00
Space group Cmmm (No. 65)
One atom of each set of equivalent atoms:
Ir  0.000  0.000  0.000
Ir  0.250  0.250  0.257
Os  0.000  0.500  0.000
Rh  0.000  0.000  0.500


Structure and theoretical X-ray diffraction stick pattern of Ir4OsRh (a DFT-relaxed cell (PBE, Alexandria); Cu Kα (λ = 1.5418 Å)).
Intensities are scaled so that the largest is 100.

Largest 10 diffraction maxima, by angle, 15 to 90 degrees two-theta:
h k l  Position (°2θ)  I/Imax
0 0 2  21.67  1
0 1 1  25.46  1
1 1 0  40.42  100
1 0 3  47.02  49
1 2 3  68.67  26
2 0 0  68.77  5
1 3 0  82.80  26
2 1 3  82.90  13
0 2 6  87.35  6
2 2 0  87.47  6

Structural model:
Unit cell a=2.730 b=3.868 c=8.203 alpha=90.00 beta=90.00 gamma=90.00
Space group Pmmm (No. 47)
One atom of each set of equivalent atoms:
Ir  0.000  0.000  0.164
Ir  0.500  0.500  0.332
Os  0.500  0.500  0.000
Rh  0.000  0.000  0.500


Structure and theoretical X-ray diffraction stick pattern of Ir5Os2Rh2 (a DFT-relaxed cell (PBE, Alexandria); Cu Kα (λ = 1.5418 Å)).
Intensities are scaled so that the largest is 100.

Largest 10 diffraction maxima, by angle, 15 to 90 degrees two-theta:
h k l  Position (°2θ)  I/Imax
5 1 -2  37.78  25
4 0 2  40.99  26
2 2 1  43.19  100
1 1 -4  56.96  15
10 0 -4  68.21  17
6 2 3  76.16  13
1 1 5  76.24  6
1 3 -4  82.74  17
6 0 -6  82.85  3
8 2 -5  84.24  15

Structural model:
Unit cell a=16.335 b=4.765 c=7.039 alpha=90.00 beta=108.64 gamma=90.00
Space group C2 (No. 5)
One atom of each set of equivalent atoms:
Ir  0.054  0.000  0.388
Ir  0.110  0.504  0.278
Ir  0.166  0.999  0.164
Ir  0.167  0.331  0.667
Ir  0.224  0.834  0.559
Os  0.000  0.497  0.500
Os  0.000  0.835  0.000
Os  0.224  0.498  0.056
Rh  0.056  0.333  0.890
Rh  0.111  0.828  0.780


Which formula does entry 2 have? Ir4OsRh